Record 1
Starting from a cell relaxed with PBE+U, the XRD peak list of Li4TiCo5O12 was simulated for Cu Ka.

The 10 most intense peaks (15 to 90 degrees two-theta), in order of rising 2θ:
Position (°2θ)	d_spacing	I_rel
18.0	4.922	1000
37.1	2.421	79
37.2	2.419	159
38.7	2.327	213
44.3	2.043	236
48.2	1.887	251
57.6	1.599	146
63.0	1.475	106
66.0	1.416	142
69.0	1.361	119

Crystal structure
Lattice parameters (Å, degrees): 10.752 10.752 4.907 94.42 94.42 46.52
Element x y z (fractional)
Li: 0.121 0.121 0.207
Li: 0.201 0.555 0.786
Li: 0.372 0.381 0.285
Li: 0.445 0.799 0.214
Li: 0.619 0.628 0.715
Li: 0.716 0.040 0.286
Li: 0.879 0.879 0.793
Li: 0.960 0.284 0.714
Ti: 0.413 0.086 0.748
Ti: 0.914 0.587 0.252
Co: 0.080 0.420 0.750
Co: 0.162 0.838 0.000
Co: 0.246 0.253 0.250
Co: 0.328 0.672 0.500
Co: 0.498 0.502 0.000
Co: 0.580 0.920 0.250
Co: 0.664 0.336 0.500
Co: 0.747 0.754 0.750
Co: 0.829 0.171 0.000
Co: 0.998 0.002 0.500
O: 0.030 0.362 0.060
O: 0.044 0.059 0.856
O: 0.112 0.785 0.654
O: 0.139 0.469 0.439
O: 0.188 0.204 0.561
O: 0.215 0.888 0.346
O: 0.286 0.612 0.145
O: 0.296 0.311 0.940
O: 0.360 0.032 0.074
O: 0.388 0.714 0.855
O: 0.446 0.453 0.650
O: 0.467 0.140 0.425
O: 0.531 0.861 0.561
O: 0.547 0.554 0.350
O: 0.609 0.288 0.159
O: 0.638 0.970 0.940
O: 0.689 0.704 0.060
O: 0.712 0.391 0.841
O: 0.779 0.121 0.644
O: 0.796 0.812 0.439
O: 0.860 0.533 0.575
O: 0.879 0.221 0.356
O: 0.941 0.956 0.144
O: 0.968 0.640 0.926

Record 2
Starting from a cell relaxed with PBE+U, the XRD peak list of Li4TiCo5O12 was simulated for Cu Ka.

The 10 most intense peaks (15 to 90 degrees two-theta), in order of rising 2θ:
Position (°2θ)	d_spacing	I_rel
17.6	5.027	1000
35.7	2.517	129
37.4	2.405	134
37.5	2.397	137
39.8	2.265	86
45.4	1.996	183
45.8	1.983	146
59.0	1.565	93
59.5	1.555	77
65.3	1.428	76

Crystal structure
Lattice parameters (Å, degrees): 11.173 11.173 5.038 102.29 102.29 44.78
Element x y z (fractional)
Li: 0.127 0.127 0.223
Li: 0.137 0.118 0.727
Li: 0.372 0.372 0.263
Li: 0.381 0.364 0.766
Li: 0.628 0.628 0.737
Li: 0.636 0.619 0.234
Li: 0.873 0.873 0.777
Li: 0.882 0.863 0.273
Ti: 0.251 0.749 0.000
Ti: 0.750 0.250 0.500
Co: 0.006 0.494 0.250
Co: 0.092 0.908 0.500
Co: 0.170 0.329 0.750
Co: 0.341 0.159 0.249
Co: 0.421 0.579 0.500
Co: 0.506 0.994 0.750
Co: 0.593 0.407 0.000
Co: 0.671 0.830 0.250
Co: 0.841 0.659 0.751
Co: 0.925 0.075 0.000
O: 0.030 0.856 0.090
O: 0.054 0.541 0.970
O: 0.124 0.277 0.038
O: 0.144 0.970 0.910
O: 0.207 0.693 0.612
O: 0.223 0.376 0.460
O: 0.288 0.112 0.537
O: 0.307 0.793 0.388
O: 0.375 0.515 0.086
O: 0.388 0.211 0.960
O: 0.459 0.946 0.030
O: 0.485 0.625 0.914
O: 0.527 0.359 0.582
O: 0.553 0.042 0.469
O: 0.624 0.777 0.540
O: 0.641 0.473 0.418
O: 0.709 0.191 0.114
O: 0.723 0.876 0.962
O: 0.789 0.612 0.040
O: 0.809 0.291 0.886
O: 0.878 0.019 0.619
O: 0.888 0.712 0.463
O: 0.958 0.447 0.531
O: 0.981 0.122 0.381

Record 3
Starting from a cell relaxed with PBE+U, the XRD peak list of Li4TiCo5O12 was simulated for Cu Ka.

The 10 most intense peaks (15 to 90 degrees two-theta), in order of rising 2θ:
Position (°2θ)	d_spacing	I_rel
17.9	4.961	1000
36.4	2.468	88
36.7	2.446	79
36.9	2.439	77
43.2	2.095	85
44.1	2.054	79
44.2	2.050	78
47.2	1.926	88
47.6	1.909	87
48.2	1.888	79

Crystal structure
Lattice parameters (Å, degrees): 4.949 4.976 19.960 93.48 92.74 119.69
Element x y z (fractional)
Li: 0.000 0.000 0.000
Li: 0.057 0.063 0.253
Li: 0.160 0.855 0.498
Li: 0.229 0.921 0.757
Li: 0.511 0.511 0.501
Li: 0.577 0.573 0.754
Li: 0.656 0.356 0.997
Li: 0.719 0.420 0.256
Ti: 0.359 0.717 0.127
Ti: 0.862 0.215 0.627
Co: 0.038 0.033 0.127
Co: 0.112 0.465 0.377
Co: 0.206 0.865 0.627
Co: 0.278 0.301 0.877
Co: 0.447 0.125 0.377
Co: 0.540 0.531 0.628
Co: 0.613 0.968 0.877
Co: 0.703 0.366 0.127
Co: 0.781 0.797 0.377
Co: 0.946 0.635 0.877
O: 0.029 0.699 0.069
O: 0.046 0.377 0.179
O: 0.053 0.768 0.321
O: 0.138 0.134 0.429
O: 0.196 0.519 0.575
O: 0.234 0.220 0.678
O: 0.277 0.630 0.827
O: 0.291 0.005 0.929
O: 0.351 0.338 0.076
O: 0.369 0.042 0.185
O: 0.434 0.439 0.327
O: 0.460 0.808 0.427
O: 0.530 0.197 0.570
O: 0.549 0.877 0.680
O: 0.579 0.287 0.825
O: 0.645 0.648 0.928
O: 0.694 0.020 0.074
O: 0.730 0.721 0.177
O: 0.768 0.115 0.328
O: 0.812 0.519 0.431
O: 0.853 0.837 0.577
O: 0.872 0.542 0.685
O: 0.934 0.932 0.825
O: 0.947 0.306 0.927

Record 4
Starting from a cell relaxed with PBE+U, the XRD peak list of Li6Ti15Co3O32 was simulated for Cu Ka.

The 10 most intense peaks (15 to 90 degrees two-theta), in order of rising 2θ:
Position (°2θ)	d_spacing	I_rel
18.1	4.892	665
21.0	4.235	137
29.8	2.996	162
35.1	2.553	1000
42.7	2.117	533
56.4	1.632	126
56.5	1.629	281
61.9	1.499	289
62.1	1.496	292
88.8	1.102	97

Crystal structure
Lattice parameters (Å, degrees): 8.470 8.470 8.470 89.87 89.87 89.87
Element x y z (fractional)
Li: 0.000 0.000 0.000
Li: 0.249 0.750 0.750
Li: 0.252 0.252 0.252
Li: 0.626 0.626 0.626
Li: 0.750 0.249 0.750
Li: 0.750 0.750 0.249
Ti: 0.123 0.123 0.628
Ti: 0.123 0.628 0.123
Ti: 0.124 0.375 0.878
Ti: 0.124 0.878 0.375
Ti: 0.375 0.124 0.878
Ti: 0.375 0.878 0.124
Ti: 0.384 0.384 0.627
Ti: 0.384 0.627 0.384
Ti: 0.626 0.873 0.873
Ti: 0.627 0.384 0.384
Ti: 0.628 0.123 0.123
Ti: 0.873 0.626 0.873
Ti: 0.873 0.873 0.626
Ti: 0.878 0.124 0.375
Ti: 0.878 0.375 0.124
Co: 0.002 0.502 0.502
Co: 0.502 0.002 0.502
Co: 0.502 0.502 0.002
O: 0.113 0.614 0.890
O: 0.113 0.890 0.614
O: 0.115 0.115 0.388
O: 0.115 0.388 0.115
O: 0.139 0.139 0.864
O: 0.139 0.363 0.637
O: 0.139 0.637 0.363
O: 0.139 0.864 0.139
O: 0.363 0.139 0.637
O: 0.363 0.637 0.139
O: 0.367 0.367 0.866
O: 0.367 0.866 0.367
O: 0.375 0.610 0.610
O: 0.387 0.888 0.888
O: 0.388 0.115 0.115
O: 0.389 0.389 0.389
O: 0.610 0.375 0.610
O: 0.610 0.610 0.375
O: 0.614 0.113 0.890
O: 0.614 0.890 0.113
O: 0.637 0.139 0.363
O: 0.637 0.363 0.139
O: 0.640 0.640 0.877
O: 0.640 0.877 0.640
O: 0.863 0.863 0.863
O: 0.864 0.139 0.139
O: 0.866 0.367 0.367
O: 0.877 0.640 0.640
O: 0.888 0.387 0.888
O: 0.888 0.888 0.387
O: 0.890 0.113 0.614
O: 0.890 0.614 0.113